Calculated powder XRD pattern of NaSe for copper Kα, from DFT lattice parameters and positions (PBE).
Neutral-atom scattering factors, no anomalous dispersion.

Structural model:
Cell lengths 4.7257, 4.7257, 10.7884 Å; angles 90.00, 90.00, 120.00 degrees
Fractional coordinates of all 8 atoms:
Na 0.0000 0.0000 0.0000
Na 0.0000 0.0000 0.5000
Na 0.3333 0.6667 0.2500
Na 0.6667 0.3333 0.7500
Se 0.3333 0.6667 0.6353
Se 0.3333 0.6667 0.8647
Se 0.6667 0.3333 0.1353
Se 0.6667 0.3333 0.3647

Main lines, low angle first (10 to 80 degrees two-theta):
| h k l | 2θ/deg | Rel. int. |
| --- | --- | --- |
| 1 0 0 | 21.72 | 39.6 |
| 1 0 1 | 23.25 | 100.0 |
| 1 0 2 | 27.35 | 21.8 |
| 0 0 4 | 33.17 | 67.2 |
| 1 1 0 | 38.08 | 86.4 |
| 1 0 4 | 40.04 | 27.5 |
| 1 0 5 | 47.64 | 43.2 |
| 1 1 4 | 51.40 | 34.4 |